Record 1
This entry pairs a crystal structure of HoEr4In3 with its simulated X-ray powder pattern. Radiation: Cu Kα, 1.54184 Å. Structure: a crystal structure in Alexandria, relaxed with PBE.
Intensities are scaled so that the largest is 100.

Cell and atoms:
abc: 3.474 8.773 15.019
angles: 90.00 90.00 90.00
Space group Immm (No. 71)
Asymmetric unit:
Ho: 0.000 0.000 0.000
Er: 0.000 0.301 0.140
In: 0.000 0.000 0.500
In: 0.000 0.500 0.316

Most intense lines, 15° ≤ 2θ ≤ 90°, in order of rising 2θ:
2theta  I_rel
26.33  32
30.12  77
31.16  36
31.36  100
33.44  38
35.55  46
35.87  36
36.70  48
37.60  99
64.46  32



Record 2
This entry pairs a crystal structure of Ho5Er12In2 with its simulated X-ray powder pattern. Radiation: Cu Kα, 1.54184 Å. Structure: a crystal structure in Alexandria, relaxed with PBE.
Intensities are scaled so that the largest is 100.

Cell and atoms:
abc: 15.279 9.192 8.226
angles: 90.00 91.39 90.00
Space group C2/m (No. 12)
Asymmetric unit:
Ho: 0.000 0.000 0.000
Ho: 0.191 0.500 0.506
Ho: 0.235 0.000 0.080
Er: 0.053 0.500 0.825
Er: 0.085 0.000 0.386
Er: 0.125 0.304 0.161
Er: 0.150 0.185 0.738
In: 0.000 0.319 0.500

Most intense lines, 15° ≤ 2θ ≤ 90°, in order of rising 2θ:
2theta  I_rel
29.14  25
29.89  25
30.43  26
31.25  49
31.65  31
31.76  29
32.38  38
32.53  100
34.51  50
36.04  34